No. 1
Simulated PXRD pattern
Compound: Sr2LiRh
Radiation: Cu Ka
Structure: a structure optimized by DFT (GGA-PBE)
Neutral-atom scattering factors, no anomalous dispersion.

Structural model:
Cell lengths 7.590, 7.590, 7.590 Å; angles 90.00, 90.00, 90.00 degrees
Space group Fm-3m (No. 225)
One atom of each set of equivalent atoms:
Sr: 0.250 0.250 0.250 [8 per cell]
Li: 0.000 0.000 0.000 [4 per cell]
Rh: 0.000 0.000 0.500 [4 per cell]

Top 10 peaks for 2θ = 15–90°, in order of falling intensity:
2theta, I/Imax, (hkl)
33.39, 100, 2 2 0
59.68, 37, 4 2 2
20.26, 29, 1 1 1
47.94, 18, 4 0 0
79.94, 16, 6 2 0
39.37, 15, 3 1 1
70.14, 11, 4 4 0
52.56, 7, 3 3 1
23.44, 6, 2 0 0
63.71, 5, 5 1 1

No. 2
Simulated PXRD pattern
Compound: LiThRh2
Radiation: Cu Ka
Structure: a structure optimized by DFT (GGA-PBE)
Neutral-atom scattering factors, no anomalous dispersion.

Structural model:
Cell lengths 6.664, 6.664, 6.664 Å; angles 90.00, 90.00, 90.00 degrees
Space group Fm-3m (No. 225)
One atom of each set of equivalent atoms:
Li: 0.000 0.000 0.000 [4 per cell]
Th: 0.000 0.000 0.500 [4 per cell]
Rh: 0.250 0.250 0.250 [8 per cell]

Top 9 peaks for 2θ = 15–90°, in order of falling intensity:
2theta, I/Imax, (hkl)
38.20, 100, 2 2 0
23.12, 59, 1 1 1
69.05, 35, 4 2 2
45.12, 31, 3 1 1
55.13, 17, 4 0 0
60.57, 13, 3 3 1
81.75, 11, 4 4 0
86.38, 10, 5 3 1
73.90, 10, 5 1 1

No. 3
Simulated PXRD pattern
Compound: LiTiRh2
Radiation: Cu Ka
Structure: a structure optimized by DFT (GGA-PBE)
Neutral-atom scattering factors, no anomalous dispersion.

Structural model:
Cell lengths 6.033, 6.033, 6.033 Å; angles 90.00, 90.00, 90.00 degrees
Space group Fm-3m (No. 225)
One atom of each set of equivalent atoms:
Li: 0.000 0.000 0.000 [4 per cell]
Ti: 0.000 0.000 0.500 [4 per cell]
Rh: 0.250 0.250 0.250 [8 per cell]

Top 10 peaks for 2θ = 15–90°, in order of falling intensity:
2theta, I/Imax, (hkl)
42.37, 100, 2 2 0
29.61, 49, 2 0 0
77.51, 32, 4 2 2
69.70, 17, 4 2 0
61.47, 16, 4 0 0
52.54, 13, 2 2 2
25.57, 7, 1 1 1
50.15, 3, 3 1 1
67.69, 1, 3 3 1
83.20, 1, 5 1 1

No. 4
Simulated PXRD pattern
Compound: LiTm2Rh
Radiation: Cu Ka
Structure: a structure optimized by DFT (GGA-PBE)
Neutral-atom scattering factors, no anomalous dispersion.

Structural model:
Cell lengths 6.895, 6.895, 6.895 Å; angles 90.00, 90.00, 90.00 degrees
Space group Fm-3m (No. 225)
One atom of each set of equivalent atoms:
Li: 0.000 0.000 0.000 [4 per cell]
Tm: 0.250 0.250 0.250 [8 per cell]
Rh: 0.000 0.000 0.500 [4 per cell]

Top 10 peaks for 2θ = 15–90°, in order of falling intensity:
2theta, I/Imax, (hkl)
36.87, 100, 2 2 0
66.42, 36, 4 2 2
25.84, 32, 2 0 0
53.13, 18, 4 0 0
90.00, 17, 6 2 0
60.00, 13, 4 2 0
22.33, 13, 1 1 1
78.46, 11, 4 4 0
45.57, 9, 2 2 2
84.26, 6, 6 0 0

No. 5
Simulated PXRD pattern
Compound: LiTmRh2
Radiation: Cu Ka
Structure: a structure optimized by DFT (GGA-PBE)
Neutral-atom scattering factors, no anomalous dispersion.

Structural model:
Cell lengths 6.372, 6.372, 6.372 Å; angles 90.00, 90.00, 90.00 degrees
Space group Fm-3m (No. 225)
One atom of each set of equivalent atoms:
Li: 0.000 0.000 0.000 [4 per cell]
Tm: 0.000 0.000 0.500 [4 per cell]
Rh: 0.250 0.250 0.250 [8 per cell]

Top 9 peaks for 2θ = 15–90°, in order of falling intensity:
2theta, I/Imax, (hkl)
40.02, 100, 2 2 0
24.19, 44, 1 1 1
72.69, 34, 4 2 2
47.31, 22, 3 1 1
57.88, 17, 4 0 0
86.37, 11, 4 4 0
63.65, 9, 3 3 1
77.90, 7, 5 1 1
28.00, 1, 2 0 0

No. 6
Simulated PXRD pattern
Compound: LiVRh2
Radiation: Cu Ka
Structure: a structure optimized by DFT (GGA-PBE)
Neutral-atom scattering factors, no anomalous dispersion.

Structural model:
Cell lengths 5.928, 5.928, 5.928 Å; angles 90.00, 90.00, 90.00 degrees
Space group Fm-3m (No. 225)
One atom of each set of equivalent atoms:
Li: 0.000 0.000 0.000 [4 per cell]
V: 0.000 0.000 0.500 [4 per cell]
Rh: 0.250 0.250 0.250 [8 per cell]

Top 10 peaks for 2θ = 15–90°, in order of falling intensity:
2theta, I/Imax, (hkl)
43.17, 100, 2 2 0
30.15, 47, 2 0 0
79.16, 32, 4 2 2
71.13, 16, 4 2 0
62.69, 16, 4 0 0
53.55, 12, 2 2 2
26.04, 8, 1 1 1
51.10, 3, 3 1 1
69.07, 1, 3 3 1
85.03, 1, 5 1 1

No. 7
Simulated PXRD pattern
Compound: LiZn2Rh
Radiation: Cu Ka
Structure: a structure optimized by DFT (GGA-PBE)
Neutral-atom scattering factors, no anomalous dispersion.

Structural model:
Cell lengths 6.057, 6.057, 6.057 Å; angles 90.00, 90.00, 90.00 degrees
Space group Fm-3m (No. 225)
One atom of each set of equivalent atoms:
Li: 0.000 0.000 0.000 [4 per cell]
Zn: 0.250 0.250 0.250 [8 per cell]
Rh: 0.000 0.000 0.500 [4 per cell]

Top 10 peaks for 2θ = 15–90°, in order of falling intensity:
2theta, I/Imax, (hkl)
42.20, 100, 2 2 0
25.47, 41, 1 1 1
77.15, 31, 4 2 2
49.94, 19, 3 1 1
61.21, 16, 4 0 0
67.39, 8, 3 3 1
82.81, 6, 5 1 1
29.49, 2, 2 0 0
69.39, 1, 4 2 0
52.32, 1, 2 2 2

No. 8
Simulated PXRD pattern
Compound: LiSm2Ru
Radiation: Cu Ka
Structure: a structure optimized by DFT (GGA-PBE)
Neutral-atom scattering factors, no anomalous dispersion.

Structural model:
Cell lengths 7.087, 7.087, 7.087 Å; angles 90.00, 90.00, 90.00 degrees
Space group Fm-3m (No. 225)
One atom of each set of equivalent atoms:
Li: 0.000 0.000 0.000 [4 per cell]
Sm: 0.250 0.250 0.250 [8 per cell]
Ru: 0.000 0.000 0.500 [4 per cell]

Top 10 peaks for 2θ = 15–90°, in order of falling intensity:
2theta, I/Imax, (hkl)
35.84, 100, 2 2 0
64.41, 36, 4 2 2
25.13, 27, 2 0 0
51.59, 18, 4 0 0
86.94, 16, 6 2 0
21.72, 14, 1 1 1
75.96, 11, 4 4 0
58.22, 11, 4 2 0
44.27, 8, 2 2 2
42.30, 7, 3 1 1